No. 1
# Mn2SbAs
Theoretical powder diffractogram, Cu Kα (λ = 1.5418 Å). Input: DFT lattice parameters and positions (GGA-PBE).
Kinematic intensities with the Lorentz-polarization factor, no thermal factor.

Crystal structure
```
4
Lattice="3.847 0.000 0.000 -1.923 3.331 0.000 0.000 0.000 5.667" Properties=species:S:1:pos:R:3 pbc="T T T"
Mn 0.000 0.000 1.303
Mn 0.000 0.000 4.364
Sb 0.000 2.221 2.833
As 1.923 1.110 0.000
```

Top 10 peaks for 2θ from 10° to 90°, sorted by position:
2theta  I/Imax  (hkl)
31.1  100.0  1 0 1
41.9  63.2  1 0 2
47.3  47.6  1 1 0
56.0  17.9  1 0 3
57.7  16.8  2 0 1
64.9  15.9  2 0 2
77.7  14.0  2 1 1
84.1  15.1  2 1 2
85.0  15.1  1 1 4
87.9  7.6  3 0 0

***

No. 2
# SrMn2As2
Theoretical powder diffractogram, Cu Kα (λ = 1.5418 Å). Input: DFT lattice parameters and positions (GGA-PBE).
Kinematic intensities with the Lorentz-polarization factor, no thermal factor.

Crystal structure
```
5
Lattice="4.076 0.000 0.000 -2.038 3.530 0.000 0.000 0.000 7.351" Properties=species:S:1:pos:R:3 pbc="T T T"
Sr 0.000 0.000 0.000
Mn 0.000 2.353 4.501
Mn 2.038 1.177 2.850
As 0.000 2.353 2.073
As 2.038 1.177 5.278
```

Top 10 peaks for 2θ from 10° to 90°, sorted by position:
2theta  I/Imax  (hkl)
28.0  100.0  0 1 1
35.2  51.0  0 1 2
36.7  17.0  0 0 3
44.4  67.0  1 1 0
45.0  38.3  1 0 3
53.4  16.1  2 0 1
56.4  12.1  0 1 4
58.9  24.6  1 1 3
71.9  13.1  1 2 1
82.3  12.3  2 1 3